Entry 1:
LuMgFeBi: simulated PXRD pattern (CuKα), based on DFT lattice parameters and positions (PBE).

The 10 most intense peaks (2θ = 15–90°), by angle:
| d/Å | I (rel.) | h k l |
| --- | --- | --- |
| 4.075 | 46 | 1 1 1 |
| 2.495 | 100 | 2 2 0 |
| 2.128 | 26 | 3 1 1 |
| 1.764 | 18 | 4 0 0 |
| 1.619 | 11 | 3 3 1 |
| 1.441 | 36 | 4 2 2 |
| 1.358 | 9 | 5 1 1 |
| 1.248 | 11 | 4 4 0 |
| 1.193 | 9 | 5 3 1 |
| 1.116 | 17 | 6 2 0 |

Cell and atoms:
Cell lengths 7.0574, 7.0574, 7.0574 Å; angles 90.00, 90.00, 90.00 degrees
Space group F-43m (No. 216)
Symmetry-distinct sites (fractional):
Lu (0.0000, 0.0000, 0.0000) (multiplicity 4)
Mg (0.0000, 0.0000, 0.5000) (multiplicity 4)
Fe (0.2500, 0.2500, 0.2500) (multiplicity 4)
Bi (0.2500, 0.2500, 0.7500) (multiplicity 4)

=====

Entry 2:
MgZrFeBi: simulated PXRD pattern (CuKα), based on DFT lattice parameters and positions (PBE).

The 10 most intense peaks (2θ = 15–90°), by angle:
| d/Å | I (rel.) | h k l |
| --- | --- | --- |
| 3.967 | 53 | 1 1 1 |
| 3.435 | 5 | 2 0 0 |
| 2.429 | 100 | 2 2 0 |
| 2.071 | 29 | 3 1 1 |
| 1.718 | 17 | 4 0 0 |
| 1.576 | 13 | 3 3 1 |
| 1.402 | 35 | 4 2 2 |
| 1.322 | 10 | 5 1 1 |
| 1.215 | 11 | 4 4 0 |
| 1.161 | 10 | 5 3 1 |

Cell and atoms:
Cell lengths 6.8703, 6.8703, 6.8703 Å; angles 90.00, 90.00, 90.00 degrees
Space group F-43m (No. 216)
Symmetry-distinct sites (fractional):
Mg (0.0000, 0.0000, 0.0000) (multiplicity 4)
Zr (0.2500, 0.2500, 0.2500) (multiplicity 4)
Fe (0.2500, 0.2500, 0.7500) (multiplicity 4)
Bi (0.0000, 0.0000, 0.5000) (multiplicity 4)

=====

Entry 3:
ScNbFeBi: simulated PXRD pattern (CuKα), based on DFT lattice parameters and positions (PBE).

The 10 most intense peaks (2θ = 15–90°), by angle:
| d/Å | I (rel.) | h k l |
| --- | --- | --- |
| 3.844 | 39 | 1 1 1 |
| 3.329 | 7 | 2 0 0 |
| 2.354 | 100 | 2 2 0 |
| 2.008 | 22 | 3 1 1 |
| 1.665 | 17 | 4 0 0 |
| 1.528 | 10 | 3 3 1 |
| 1.359 | 34 | 4 2 2 |
| 1.281 | 7 | 5 1 1 |
| 1.177 | 11 | 4 4 0 |
| 1.125 | 8 | 5 3 1 |

Cell and atoms:
Cell lengths 6.6583, 6.6583, 6.6583 Å; angles 90.00, 90.00, 90.00 degrees
Space group F-43m (No. 216)
Symmetry-distinct sites (fractional):
Sc (0.0000, 0.0000, 0.0000) (multiplicity 4)
Nb (0.2500, 0.2500, 0.2500) (multiplicity 4)
Fe (0.2500, 0.2500, 0.7500) (multiplicity 4)
Bi (0.0000, 0.0000, 0.5000) (multiplicity 4)